Entry 1:
Structure and theoretical powder X-ray diffraction pattern of LiFeCu2 (the GGA-PBE geometry in Alexandria; Cu Kα, 1.54184 Å).

Principal peaks in the range 10° ≤ 2θ ≤ 90°, low angle first:
10.27 deg, d = 8.611 Å, intensity 94
20.63 deg, d = 4.305 Å, intensity 31
41.00 deg, d = 2.201 Å, intensity 8
41.47 deg, d = 2.178 Å, intensity 15
41.97 deg, d = 2.153 Å, intensity 36
43.29 deg, d = 2.090 Å, intensity 100
48.00 deg, d = 1.895 Å, intensity 7
50.03 deg, d = 1.823 Å, intensity 64
72.52 deg, d = 1.304 Å, intensity 19
74.38 deg, d = 1.275 Å, intensity 18
87.48 deg, d = 1.115 Å, intensity 11
89.27 deg, d = 1.097 Å, intensity 21

Atomic structure:
Lattice parameters (Å, degrees): 2.5509 2.5509 25.8322 90.00 90.00 120.00
Space group R-3m (No. 166, hexagonal axes)
One atom of each set of equivalent atoms:
Li: 0.0000 0.0000 0.0000 (multiplicity 3)
Fe: 0.0000 0.0000 0.5000 (multiplicity 3)
Cu: 0.0000 0.0000 0.2486 (multiplicity 6)


Entry 2:
Structure and theoretical powder X-ray diffraction pattern of Mg7Cd2Hg2 (the GGA-PBE geometry in Alexandria; Cu Kα, 1.54184 Å).

Principal peaks in the range 10° ≤ 2θ ≤ 90°, low angle first:
12.07 deg, d = 7.334 Å, intensity 22
22.46 deg, d = 3.958 Å, intensity 100
24.27 deg, d = 3.667 Å, intensity 41
25.98 deg, d = 3.430 Å, intensity 51
28.74 deg, d = 3.107 Å, intensity 57
35.85 deg, d = 2.505 Å, intensity 69
36.01 deg, d = 2.494 Å, intensity 17
37.69 deg, d = 2.387 Å, intensity 15
38.29 deg, d = 2.351 Å, intensity 19
39.71 deg, d = 2.270 Å, intensity 51
41.64 deg, d = 2.169 Å, intensity 26
54.99 deg, d = 1.670 Å, intensity 18

Atomic structure:
Lattice parameters (Å, degrees): 3.6834 14.6679 9.4021 90.00 90.00 90.00
Space group Imm2 (No. 44)
One atom of each set of equivalent atoms:
Mg: 0.0000 0.0000 0.0000 (multiplicity 2)
Mg: 0.0000 0.1148 0.5640 (multiplicity 4)
Mg: 0.0000 0.3198 0.3448 (multiplicity 4)
Mg: 0.0000 0.3487 0.7615 (multiplicity 4)
Cd: 0.0000 0.0000 0.3119 (multiplicity 2)
Cd: 0.0000 0.5000 0.2445 (multiplicity 2)
Hg: 0.0000 0.2326 0.0577 (multiplicity 4)


Entry 3:
Structure and theoretical powder X-ray diffraction pattern of CaCu8Si2 (the GGA-PBE geometry in Alexandria; Cu Kα, 1.54184 Å).

Principal peaks in the range 10° ≤ 2θ ≤ 90°, low angle first:
14.69 deg, d = 6.031 Å, intensity 53
27.84 deg, d = 3.205 Å, intensity 16
29.62 deg, d = 3.016 Å, intensity 82
33.22 deg, d = 2.697 Å, intensity 31
37.02 deg, d = 2.428 Å, intensity 37
40.02 deg, d = 2.253 Å, intensity 25
42.39 deg, d = 2.132 Å, intensity 53
45.10 deg, d = 2.010 Å, intensity 47
48.11 deg, d = 1.891 Å, intensity 100
54.89 deg, d = 1.673 Å, intensity 22
59.71 deg, d = 1.549 Å, intensity 26
68.06 deg, d = 1.378 Å, intensity 34

Atomic structure:
Lattice parameters (Å, degrees): 6.0312 6.0312 4.8569 90.00 90.00 90.00
Space group P4/mmm (No. 123)
One atom of each set of equivalent atoms:
Ca: 0.0000 0.0000 0.0000 (multiplicity 1)
Cu: 0.2988 0.2988 0.2516 (multiplicity 8)
Si: 0.0000 0.5000 0.5000 (multiplicity 2)


Entry 4:
Structure and theoretical powder X-ray diffraction pattern of CaDy4HoS8 (the GGA-PBE geometry in Alexandria; Cu Kα, 1.54184 Å).

Principal peaks in the range 10° ≤ 2θ ≤ 90°, low angle first:
13.42 deg, d = 6.597 Å, intensity 32
22.00 deg, d = 4.040 Å, intensity 15
25.86 deg, d = 3.445 Å, intensity 100
27.03 deg, d = 3.299 Å, intensity 21
31.31 deg, d = 2.857 Å, intensity 35
41.04 deg, d = 2.199 Å, intensity 46
44.87 deg, d = 2.020 Å, intensity 62
52.52 deg, d = 1.743 Å, intensity 14
53.17 deg, d = 1.723 Å, intensity 12
62.43 deg, d = 1.488 Å, intensity 24
71.50 deg, d = 1.319 Å, intensity 14
82.76 deg, d = 1.166 Å, intensity 20

Atomic structure:
Lattice parameters (Å, degrees): 8.0828 8.0828 19.7770 90.00 90.00 120.00
Space group R3m (No. 160, hexagonal axes)
One atom of each set of equivalent atoms:
Ca: 0.0000 0.0000 0.0000 (multiplicity 3)
Dy: 0.0000 0.0000 0.7501 (multiplicity 3)
Dy: 0.0052 0.5026 0.8756 (multiplicity 9)
Ho: 0.0000 0.0000 0.3729 (multiplicity 3)
S: 0.0000 0.0000 0.1354 (multiplicity 3)
S: 0.0000 0.0000 0.6172 (multiplicity 3)
S: 0.0220 0.5110 0.1272 (multiplicity 9)
S: 0.1808 0.3616 0.9552 (multiplicity 9)


Entry 5:
Structure and theoretical powder X-ray diffraction pattern of Na3Pa3MoN8 (the GGA-PBE geometry in Alexandria; Cu Kα, 1.54184 Å).

Principal peaks in the range 10° ≤ 2θ ≤ 90°, low angle first:
15.50 deg, d = 5.719 Å, intensity 100
30.50 deg, d = 2.931 Å, intensity 50
31.28 deg, d = 2.859 Å, intensity 20
31.84 deg, d = 2.811 Å, intensity 53
36.77 deg, d = 2.445 Å, intensity 57
40.12 deg, d = 2.248 Å, intensity 21
48.10 deg, d = 1.892 Å, intensity 19
52.61 deg, d = 1.740 Å, intensity 18
53.34 deg, d = 1.718 Å, intensity 20
55.89 deg, d = 1.645 Å, intensity 22
62.49 deg, d = 1.486 Å, intensity 10
63.15 deg, d = 1.472 Å, intensity 17

Atomic structure:
Lattice parameters (Å, degrees): 6.8706 6.8706 17.1559 90.00 90.00 120.00
Space group R-3m (No. 166, hexagonal axes)
One atom of each set of equivalent atoms:
Na: 0.0000 0.5000 0.0000 (multiplicity 9)
Pa: 0.0000 0.5000 0.5000 (multiplicity 9)
Mo: 0.0000 0.0000 0.5000 (multiplicity 3)
N: 0.0000 0.0000 0.2310 (multiplicity 6)
N: 0.0245 0.5123 0.2262 (multiplicity 18)


Entry 6:
Structure and theoretical powder X-ray diffraction pattern of NpAs2 (the GGA-PBE geometry in Alexandria; Cu Kα, 1.54184 Å).

Principal peaks in the range 10° ≤ 2θ ≤ 90°, low angle first:
21.99 deg, d = 4.041 Å, intensity 25
25.04 deg, d = 3.556 Å, intensity 91
31.96 deg, d = 2.800 Å, intensity 50
33.25 deg, d = 2.694 Å, intensity 37
33.88 deg, d = 2.646 Å, intensity 51
39.14 deg, d = 2.302 Å, intensity 100
40.50 deg, d = 2.228 Å, intensity 44
45.83 deg, d = 1.980 Å, intensity 52
52.93 deg, d = 1.730 Å, intensity 26
57.79 deg, d = 1.595 Å, intensity 30
66.83 deg, d = 1.400 Å, intensity 34
80.27 deg, d = 1.196 Å, intensity 26

Atomic structure:
Lattice parameters (Å, degrees): 3.9596 3.9596 8.0829 90.00 90.00 90.00
Space group P4/nmm (No. 129, origin choice 2)
One atom of each set of equivalent atoms:
Np: 0.2500 0.2500 0.2137 (multiplicity 2)
As: 0.2500 0.2500 0.8562 (multiplicity 2)
As: 0.2500 0.7500 0.5000 (multiplicity 2)